[1]
# Ac3Sm2Ag3
Calculated powder XRD pattern, a wavelength of 1.5418 Å. Input: a crystal structure in Alexandria, relaxed with PBE.

Principal peaks in the range 2θ from 10° to 90°, by intensity:
two_theta, d/Å, I/Imax
31.86, 2.808, 100
31.64, 2.828, 27
30.92, 2.892, 23
56.49, 1.629, 20
44.83, 2.022, 17
55.60, 1.653, 14
24.86, 3.581, 12
66.60, 1.404, 11
57.36, 1.606, 10
46.53, 1.952, 9
56.92, 1.618, 9
76.98, 1.239, 8

Structure:
Cell: 3.903 5.656 23.134 Å, 90.00 90.00 90.00°
Element x y z (fractional)
1 Ac 0.000 0.000 0.000
2 Ac 0.000 0.500 0.122
3 Ac 0.000 0.500 0.878
4 Ac 0.500 0.000 0.378
5 Ac 0.500 0.000 0.622
6 Ac 0.500 0.500 0.500
7 Sm 0.000 0.000 0.232
8 Sm 0.000 0.000 0.768
9 Sm 0.500 0.500 0.268
10 Sm 0.500 0.500 0.732
11 Ag 0.000 0.000 0.500
12 Ag 0.000 0.500 0.375
13 Ag 0.000 0.500 0.625
14 Ag 0.500 0.000 0.125
15 Ag 0.500 0.000 0.875
16 Ag 0.500 0.500 0.000

---

[2]
# AcSmAg2Te4
Calculated powder XRD pattern, a wavelength of 1.5418 Å. Input: a crystal structure in Alexandria, relaxed with PBE.

Principal peaks in the range 2θ from 10° to 90°, by intensity:
two_theta, d/Å, I/Imax
32.52, 2.753, 100
26.12, 3.411, 97
30.54, 2.927, 43
31.13, 2.873, 42
44.84, 2.021, 35
41.73, 2.165, 29
42.63, 2.121, 27
47.48, 1.915, 19
45.81, 1.981, 18
27.35, 3.261, 16
56.12, 1.639, 16
56.84, 1.620, 16

Structure:
Cell: 7.659 7.922 8.691 Å, 90.00 90.00 90.00°
Element x y z (fractional)
1 Ac 0.000 0.000 0.000
2 Ac 0.500 0.500 0.500
3 Sm 0.000 0.000 0.500
4 Sm 0.500 0.500 0.000
5 Ag 0.000 0.500 0.163
6 Ag 0.000 0.500 0.837
7 Ag 0.500 0.000 0.337
8 Ag 0.500 0.000 0.663
9 Te 0.232 0.228 0.303
10 Te 0.232 0.772 0.697
11 Te 0.268 0.272 0.803
12 Te 0.268 0.728 0.197
13 Te 0.732 0.272 0.197
14 Te 0.732 0.728 0.803
15 Te 0.768 0.228 0.697
16 Te 0.768 0.772 0.303

---

[3]
# AcAg4Sn12
Calculated powder XRD pattern, a wavelength of 1.5418 Å. Input: a crystal structure in Alexandria, relaxed with PBE.

Principal peaks in the range 2θ from 10° to 90°, by intensity:
two_theta, d/Å, I/Imax
28.94, 3.086, 100
34.39, 2.608, 48
47.52, 1.914, 40
45.54, 1.992, 35
41.38, 2.182, 20
64.81, 1.439, 18
85.63, 1.134, 15
84.20, 1.150, 15
25.83, 3.450, 13
73.99, 1.281, 12
76.94, 1.239, 10
59.96, 1.543, 9

Structure:
Cell: 8.450 8.450 8.450 Å, 109.47 109.47 109.47°
Element x y z (fractional)
1 Ac 0.000 0.000 0.000
2 Ag 0.000 0.000 0.500
3 Ag 0.000 0.500 0.000
4 Ag 0.500 0.000 0.000
5 Ag 0.500 0.500 0.500
6 Sn 0.156 0.349 0.506
7 Sn 0.156 0.651 0.807
8 Sn 0.193 0.844 0.349
9 Sn 0.349 0.193 0.844
10 Sn 0.349 0.506 0.156
11 Sn 0.494 0.844 0.651
12 Sn 0.506 0.156 0.349
13 Sn 0.651 0.494 0.844
14 Sn 0.651 0.807 0.156
15 Sn 0.807 0.156 0.651
16 Sn 0.844 0.349 0.193
17 Sn 0.844 0.651 0.494

---

[4]
# Ac2Ag3Sn2
Calculated powder XRD pattern, a wavelength of 1.5418 Å. Input: a crystal structure in Alexandria, relaxed with PBE.

Principal peaks in the range 2θ from 10° to 90°, by intensity:
two_theta, d/Å, I/Imax
30.70, 2.913, 100
34.44, 2.604, 84
37.30, 2.411, 81
35.64, 2.519, 79
30.88, 2.896, 51
32.67, 2.741, 36
26.30, 3.389, 30
29.75, 3.003, 28
25.62, 3.477, 26
58.65, 1.574, 26
50.41, 1.810, 25
30.52, 2.929, 18

Structure:
Cell: 11.734 4.821 7.253 Å, 90.00 110.85 90.00°
Element x y z (fractional)
1 Ac 0.147 0.000 0.252
2 Ac 0.353 0.500 0.748
3 Ac 0.647 0.500 0.252
4 Ac 0.853 0.000 0.748
5 Ag 0.000 0.500 0.500
6 Ag 0.095 0.500 0.921
7 Ag 0.405 0.000 0.079
8 Ag 0.500 0.000 0.500
9 Ag 0.595 0.000 0.921
10 Ag 0.905 0.500 0.079
11 Sn 0.146 0.000 0.738
12 Sn 0.354 0.500 0.262
13 Sn 0.646 0.500 0.738
14 Sn 0.854 0.000 0.262

---

[5]
# AcAg12Sn6
Calculated powder XRD pattern, a wavelength of 1.5418 Å. Input: a crystal structure in Alexandria, relaxed with PBE.

Principal peaks in the range 2θ from 10° to 90°, by intensity:
two_theta, d/Å, I/Imax
31.42, 2.847, 100
30.59, 2.923, 77
39.96, 2.256, 73
36.99, 2.430, 69
46.12, 1.968, 67
40.95, 2.204, 67
37.70, 2.386, 63
23.72, 3.751, 42
72.50, 1.304, 34
28.42, 3.141, 27
61.67, 1.504, 23
45.73, 1.984, 21

Structure:
Cell: 7.875 7.875 7.875 Å, 103.53 103.53 103.53°
Element x y z (fractional)
1 Ac 0.000 0.000 0.000
2 Ag 0.110 0.500 0.890
3 Ag 0.110 0.890 0.500
4 Ag 0.124 0.365 0.365
5 Ag 0.365 0.124 0.365
6 Ag 0.365 0.365 0.124
7 Ag 0.500 0.110 0.890
8 Ag 0.500 0.890 0.110
9 Ag 0.635 0.635 0.876
10 Ag 0.635 0.876 0.635
11 Ag 0.876 0.635 0.635
12 Ag 0.890 0.110 0.500
13 Ag 0.890 0.500 0.110
14 Sn 0.286 0.286 0.700
15 Sn 0.286 0.700 0.286
16 Sn 0.300 0.714 0.714
17 Sn 0.700 0.286 0.286
18 Sn 0.714 0.300 0.714
19 Sn 0.714 0.714 0.300

---

[6]
# Ac2Ag3Sn4
Calculated powder XRD pattern, a wavelength of 1.5418 Å. Input: a crystal structure in Alexandria, relaxed with PBE.

Principal peaks in the range 2θ from 10° to 90°, by intensity:
two_theta, d/Å, I/Imax
34.24, 2.619, 100
31.71, 2.821, 100
30.95, 2.890, 60
32.95, 2.719, 59
33.76, 2.655, 37
29.48, 3.030, 36
34.64, 2.590, 34
53.55, 1.711, 32
50.81, 1.797, 27
61.17, 1.515, 24
55.78, 1.648, 20
45.50, 1.994, 18

Structure:
Cell: 8.998 8.998 8.623 Å, 90.00 90.00 137.02°
Element x y z (fractional)
1 Ac 0.113 0.887 0.910
2 Ac 0.387 0.613 0.410
3 Ac 0.613 0.387 0.590
4 Ac 0.887 0.113 0.090
5 Ag 0.000 0.000 0.500
6 Ag 0.025 0.475 0.750
7 Ag 0.475 0.025 0.250
8 Ag 0.500 0.500 0.000
9 Ag 0.525 0.975 0.750
10 Ag 0.975 0.525 0.250
11 Sn 0.178 0.822 0.521
12 Sn 0.195 0.305 0.750
13 Sn 0.305 0.195 0.250
14 Sn 0.322 0.678 0.021
15 Sn 0.678 0.322 0.979
16 Sn 0.695 0.805 0.750
17 Sn 0.805 0.695 0.250
18 Sn 0.822 0.178 0.479

---

[7]
# AcAg3Sn
Calculated powder XRD pattern, a wavelength of 1.5418 Å. Input: a crystal structure in Alexandria, relaxed with PBE.

Principal peaks in the range 2θ from 10° to 90°, by intensity:
two_theta, d/Å, I/Imax
30.66, 2.916, 100
31.50, 2.840, 89
37.22, 2.416, 49
36.52, 2.460, 40
31.06, 2.880, 26
63.06, 1.474, 24
30.88, 2.896, 23
48.31, 1.884, 17
49.01, 1.858, 17
25.68, 3.469, 15
46.05, 1.971, 14
26.00, 3.426, 14

Structure:
Cell: 4.833 4.922 6.243 Å, 111.57 111.66 90.68°
Element x y z (fractional)
1 Ac 0.000 0.000 0.000
2 Ag 0.255 0.805 0.507
3 Ag 0.632 0.584 0.256
4 Ag 0.756 0.203 0.505
5 Sn 0.376 0.421 0.752

---

[8]
# Ac3Ag7Sn4
Calculated powder XRD pattern, a wavelength of 1.5418 Å. Input: a crystal structure in Alexandria, relaxed with PBE.

Principal peaks in the range 2θ from 10° to 90°, by intensity:
two_theta, d/Å, I/Imax
31.68, 2.824, 100
37.15, 2.420, 48
32.04, 2.793, 37
34.50, 2.600, 27
32.41, 2.763, 25
38.04, 2.366, 20
26.34, 3.384, 19
40.30, 2.238, 18
32.51, 2.754, 15
54.22, 1.692, 14
32.23, 2.778, 14
63.57, 1.464, 14

Structure:
Cell: 9.067 9.067 10.259 Å, 124.21 124.21 30.97°
Element x y z (fractional)
1 Ac 0.000 0.000 0.000
2 Ac 0.301 0.301 0.295
3 Ac 0.699 0.699 0.705
4 Ag 0.000 0.000 0.500
5 Ag 0.136 0.136 0.862
6 Ag 0.337 0.337 0.693
7 Ag 0.499 0.499 0.311
8 Ag 0.501 0.501 0.689
9 Ag 0.663 0.663 0.307
10 Ag 0.864 0.864 0.138
11 Sn 0.130 0.130 0.415
12 Sn 0.343 0.343 0.975
13 Sn 0.657 0.657 0.025
14 Sn 0.870 0.870 0.585

---

[9]
# Sr3Ac2AgTe6
Calculated powder XRD pattern, a wavelength of 1.5418 Å. Input: a crystal structure in Alexandria, relaxed with PBE.

Principal peaks in the range 2θ from 10° to 90°, by intensity:
two_theta, d/Å, I/Imax
26.82, 3.325, 100
38.29, 2.351, 78
62.50, 1.486, 24
47.34, 1.920, 21
69.23, 1.357, 13
55.26, 1.662, 13
62.38, 1.489, 12
11.51, 7.691, 9
88.22, 1.108, 8
47.44, 1.917, 7
69.11, 1.359, 7
69.32, 1.356, 7

Structure:
Cell: 8.138 8.138 8.160 Å, 99.62 99.62 120.03°
Element x y z (fractional)
1 Sr 0.000 0.000 0.000
2 Sr 0.332 0.668 0.000
3 Sr 0.668 0.332 0.000
4 Ac 0.166 0.834 0.500
5 Ac 0.834 0.166 0.500
6 Ag 0.500 0.500 0.500
7 Te 0.095 0.419 0.256
8 Te 0.257 0.257 0.745
9 Te 0.419 0.095 0.256
10 Te 0.581 0.905 0.744
11 Te 0.743 0.743 0.255
12 Te 0.905 0.581 0.744

---

[10]
# Ac5TbAg6
Calculated powder XRD pattern, a wavelength of 1.5418 Å. Input: a crystal structure in Alexandria, relaxed with PBE.

Principal peaks in the range 2θ from 10° to 90°, by intensity:
two_theta, d/Å, I/Imax
32.35, 2.768, 100
57.65, 1.599, 25
46.33, 1.960, 12
57.78, 1.596, 12
22.72, 3.914, 11
76.94, 1.239, 11
67.76, 1.383, 7
46.53, 1.952, 6
77.26, 1.235, 5
67.61, 1.386, 4
52.19, 1.753, 3
39.88, 2.260, 3

Structure:
Cell: 9.592 9.592 5.543 Å, 106.75 106.75 120.18°
Element x y z (fractional)
1 Ac 0.000 0.000 0.000
2 Ac 0.165 0.835 0.500
3 Ac 0.331 0.669 0.000
4 Ac 0.669 0.331 0.000
5 Ac 0.835 0.165 0.500
6 Tb 0.500 0.500 0.500
7 Ag 0.104 0.422 0.263
8 Ag 0.274 0.274 0.774
9 Ag 0.422 0.104 0.263
10 Ag 0.578 0.896 0.737
11 Ag 0.726 0.726 0.226
12 Ag 0.896 0.578 0.737

---

[11]
# Ac5AgTe8
Calculated powder XRD pattern, a wavelength of 1.5418 Å. Input: a crystal structure in Alexandria, relaxed with PBE.

Principal peaks in the range 2θ from 10° to 90°, by intensity:
two_theta, d/Å, I/Imax
28.61, 3.120, 100
27.95, 3.192, 47
33.45, 2.679, 41
33.98, 2.638, 29
33.78, 2.653, 26
22.00, 4.040, 19
42.57, 2.124, 18
57.63, 1.600, 14
44.87, 2.020, 13
21.70, 4.095, 12
40.74, 2.215, 12
40.96, 2.203, 11

Structure:
Cell: 8.612 8.612 8.612 Å, 110.20 110.20 108.01°
Element x y z (fractional)
1 Ac 0.000 0.000 0.000
2 Ac 0.133 0.255 0.625
3 Ac 0.492 0.867 0.121
4 Ac 0.630 0.508 0.375
5 Ac 0.745 0.370 0.879
6 Ag 0.250 0.750 0.500
7 Te 0.017 0.616 0.758
8 Te 0.223 0.479 0.119
9 Te 0.360 0.104 0.881
10 Te 0.384 0.142 0.401
11 Te 0.521 0.640 0.743
12 Te 0.741 0.983 0.599
13 Te 0.858 0.259 0.242
14 Te 0.896 0.777 0.257

---

[12]
# Ac2TiAg
Calculated powder XRD pattern, a wavelength of 1.5418 Å. Input: a crystal structure in Alexandria, relaxed with PBE.

Principal peaks in the range 2θ from 10° to 90°, by intensity:
two_theta, d/Å, I/Imax
31.47, 2.842, 100
38.78, 2.322, 78
29.14, 3.064, 61
15.25, 5.809, 51
28.79, 3.101, 49
33.96, 2.639, 43
30.79, 2.904, 42
50.80, 1.797, 40
60.59, 1.528, 37
40.63, 2.221, 30
65.69, 1.421, 28
60.97, 1.520, 23

Structure:
Cell: 3.595 3.595 34.852 Å, 90.00 90.00 120.00°
Element x y z (fractional)
1 Ac 0.000 0.000 0.091
2 Ac 0.000 0.000 0.909
3 Ac 0.333 0.667 0.576
4 Ac 0.333 0.667 0.758
5 Ac 0.667 0.333 0.242
6 Ac 0.667 0.333 0.424
7 Ti 0.000 0.000 0.000
8 Ti 0.333 0.667 0.667
9 Ti 0.667 0.333 0.333
10 Ag 0.000 0.000 0.500
11 Ag 0.333 0.667 0.167
12 Ag 0.667 0.333 0.833